Calculated powder X-ray diffraction pattern of Dy3ThS6 for CuKα, from DFT lattice parameters and positions (GGA-PBE).

Structural model:
```
Dy3ThS6
1.0
11.040 0.000 0.000
0.000 3.941 0.000
-3.533 0.000 10.769
Dy Th S
6 2 12
Cartesian
0.150 0.985 1.793
0.204 2.956 5.399
0.495 0.985 9.886
7.013 2.956 0.883
7.304 0.985 5.370
7.357 2.956 8.976
3.915 0.985 3.279
3.593 2.956 7.490
-1.139 0.985 4.151
-2.168 0.985 10.102
1.702 2.956 2.950
0.770 2.956 8.064
2.346 0.985 5.758
4.274 2.956 1.035
3.234 0.985 9.734
5.162 2.956 5.010
6.738 0.985 2.705
5.806 0.985 7.819
9.676 2.956 0.667
8.646 2.956 6.617
```

The 10 most intense peaks (10° ≤ 2θ ≤ 80°), by angle:
2θ/deg	I_rel
23.6	85
24.1	42
24.2	100
24.6	40
27.2	51
27.8	53
31.0	77
34.3	51
42.5	54
46.1	42

=====

Calculated powder X-ray diffraction pattern of Y5Ni2Te2 for CuKα, from DFT lattice parameters and positions (GGA-PBE).

Structural model:
```
Y5Ni2Te2
1.0
1.997 -7.523 0.000
1.997 7.523 0.000
0.000 0.000 14.953
Y Ni Te
10 4 4
Cartesian
1.997 6.922 9.307
1.997 6.922 13.123
1.997 3.627 1.909
1.997 3.627 5.568
1.997 1.580 11.215
1.997 -1.580 3.738
1.997 -3.627 9.386
1.997 -3.627 13.044
1.997 -6.922 1.830
1.997 -6.922 5.646
1.997 4.761 11.215
1.997 1.309 3.738
1.997 -1.309 11.215
1.997 -4.761 3.738
1.997 1.733 8.077
1.997 1.733 14.353
1.997 -1.733 0.600
1.997 -1.733 6.877
```

The 10 most intense peaks (10° ≤ 2θ ≤ 80°), by angle:
2θ/deg	I_rel
28.6	24
29.2	41
32.2	18
33.4	53
33.8	100
37.4	30
38.1	33
44.8	17
45.4	28
57.8	22

=====

Repeat the first record exactly.
Calculated powder X-ray diffraction pattern of Dy3ThS6 for CuKα, from DFT lattice parameters and positions (GGA-PBE).

Structural model:
```
Dy3ThS6
1.0
11.040 0.000 0.000
0.000 3.941 0.000
-3.533 0.000 10.769
Dy Th S
6 2 12
Cartesian
0.150 0.985 1.793
0.204 2.956 5.399
0.495 0.985 9.886
7.013 2.956 0.883
7.304 0.985 5.370
7.357 2.956 8.976
3.915 0.985 3.279
3.593 2.956 7.490
-1.139 0.985 4.151
-2.168 0.985 10.102
1.702 2.956 2.950
0.770 2.956 8.064
2.346 0.985 5.758
4.274 2.956 1.035
3.234 0.985 9.734
5.162 2.956 5.010
6.738 0.985 2.705
5.806 0.985 7.819
9.676 2.956 0.667
8.646 2.956 6.617
```

The 10 most intense peaks (10° ≤ 2θ ≤ 80°), by angle:
2θ/deg	I_rel
23.6	85
24.1	42
24.2	100
24.6	40
27.2	51
27.8	53
31.0	77
34.3	51
42.5	54
46.1	42